Starting from a cell relaxed with GGA-PBE, the powder XRD pattern of K2SnN6 was computed for copper Kα.

Largest 8 diffraction maxima, in order of rising 2θ, 5° ≤ 2θ ≤ 70°:
2θ = 16.84°, d 5.266, rel. 100.0, hkl 1 0 1
2θ = 17.41°, d 5.094, rel. 32.0, hkl 0 0 3
2θ = 19.63°, d 4.522, rel. 19.4, hkl 0 1 2
2θ = 27.54°, d 3.239, rel. 60.1, hkl 1 1 0
2θ = 28.26°, d 3.158, rel. 55.7, hkl 1 0 4
2θ = 32.77°, d 2.733, rel. 39.1, hkl 1 1 3
2θ = 39.87°, d 2.261, rel. 55.5, hkl 0 2 4
2θ = 49.14°, d 1.854, rel. 24.5, hkl 2 1 4

Cell lengths 6.4773, 6.4773, 15.2831 Å; angles 90.00, 90.00, 120.00 degrees
Space group R-3m (No. 166, hexagonal axes)
One atom of each set of equivalent atoms:
K (0.0000, 0.0000, 0.2467) (multiplicity 6)
Sn (0.0000, 0.0000, 0.5000) (multiplicity 3)
N (0.0182, 0.5091, 0.2486) (multiplicity 18)

---

Starting from a cell relaxed with GGA-PBE, the powder XRD pattern of Cs4K2CuSi2O8 was computed for copper Kα.

Largest 8 diffraction maxima, in order of rising 2θ, 5° ≤ 2θ ≤ 70°:
2θ = 26.61°, d 3.350, rel. 29.3, hkl 3 1 0
2θ = 27.86°, d 3.203, rel. 100.0, hkl 2 2 1
2θ = 28.90°, d 3.089, rel. 36.3, hkl 0 0 2
2θ = 30.36°, d 2.944, rel. 20.4, hkl 3 1 1
2θ = 33.85°, d 2.648, rel. 34.7, hkl 4 0 0
2θ = 39.69°, d 2.271, rel. 24.6, hkl 3 1 2
2θ = 45.09°, d 2.011, rel. 19.8, hkl 4 0 2
2θ = 56.97°, d 1.616, rel. 19.7, hkl 6 2 1

Cell lengths 10.592, 10.592, 6.179 Å; angles 90.00, 90.00, 90.00 degrees
Space group P4_2/mnm (No. 136)
One atom of each set of equivalent atoms:
Cs (0.116, 0.363, 0.000) (multiplicity 8)
K (0.103, 0.897, 0.000) (multiplicity 4)
Cu (0.000, 0.000, 0.500) (multiplicity 2)
Si (0.176, 0.176, 0.500) (multiplicity 4)
O (0.102, 0.102, 0.293) (multiplicity 8)
O (0.148, 0.329, 0.500) (multiplicity 8)

---

Starting from a cell relaxed with GGA-PBE, the powder XRD pattern of K3Au3Br8 was computed for copper Kα.

Largest 8 diffraction maxima, in order of rising 2θ, 5° ≤ 2θ ≤ 70°:
2θ = 15.66°, d 5.659, rel. 100.0, hkl 1 1 -2
2θ = 17.82°, d 4.978, rel. 23.5, hkl 2 0 2
2θ = 23.50°, d 3.786, rel. 17.5, hkl 1 1 4
2θ = 24.11°, d 3.692, rel. 16.4, hkl 3 1 0
2θ = 31.09°, d 2.876, rel. 19.3, hkl 4 0 2
2θ = 31.62°, d 2.829, rel. 73.4, hkl 2 2 -4
2θ = 32.12°, d 2.787, rel. 19.3, hkl 3 1 4
2θ = 49.28°, d 1.849, rel. 15.3, hkl 6 2 -2

Cell lengths 12.615, 7.904, 19.344 Å; angles 90.00, 96.90, 90.00 degrees
Space group C2/c (No. 15)
One atom of each set of equivalent atoms:
K (0.000, 0.015, 0.250) (multiplicity 4)
K (0.182, 0.496, 0.585) (multiplicity 8)
Au (0.000, 0.000, 0.000) (multiplicity 4)
Au (0.115, 0.498, 0.810) (multiplicity 8)
Br (0.036, 0.277, 0.876) (multiplicity 8)
Br (0.068, 0.232, 0.427) (multiplicity 8)
Br (0.184, 0.031, 0.063) (multiplicity 8)
Br (0.202, 0.291, 0.242) (multiplicity 8)